Entry 1:
# Pu3Cu8Pd
Theoretical powder X-ray diffraction pattern, Cu Kα (weighted mean of Kα1 and Kα2). Input: a structure optimized by DFT (PBE).
Neutral-atom scattering factors, no anomalous dispersion.

Main lines, low angle first (10 to 90 degrees two-theta):
| Position (°2θ) | d_spacing | intensity | (hkl) |
| --- | --- | --- | --- |
| 21.20 | 4.191 | 30 | 0 0 6 |
| 34.95 | 2.567 | 93 | 1 1 0 |
| 41.22 | 2.190 | 100 | 1 1 6 |
| 41.31 | 2.185 | 31 | 1 0 10 |
| 62.64 | 1.483 | 27 | 3 0 0 |
| 66.94 | 1.398 | 31 | 3 0 6 |

Cell and atoms:
Cell: 5.1404 5.1404 25.0855 Å, 90.00 90.00 120.00°
Space group R3m (No. 160, hexagonal axes)
Asymmetric unit:
Pu (0.0000, 0.0000, 0.0000) x3
Pu (0.0000, 0.0000, 0.1277) x3
Pu (0.0000, 0.0000, 0.5041) x3
Cu (0.0000, 0.0000, 0.3139) x3
Cu (0.0000, 0.0000, 0.8147) x3
Cu (0.1674, 0.3348, 0.9001) x9
Cu (0.1685, 0.3370, 0.3957) x9
Pd (0.0000, 0.0000, 0.6286) x3

***

Entry 2:
# AcMg2Ir2
Theoretical powder X-ray diffraction pattern, Cu Kα (weighted mean of Kα1 and Kα2). Input: a structure optimized by DFT (PBE).
Neutral-atom scattering factors, no anomalous dispersion.

Main lines, low angle first (10 to 90 degrees two-theta):
| Position (°2θ) | d_spacing | intensity | (hkl) |
| --- | --- | --- | --- |
| 29.37 | 3.041 | 100 | 1 1 0 |
| 30.79 | 2.904 | 87 | 1 0 3 |
| 33.13 | 2.704 | 63 | 1 1 2 |
| 42.02 | 2.150 | 55 | 2 0 0 |
| 43.72 | 2.071 | 81 | 1 0 5 |
| 62.25 | 1.492 | 58 | 2 1 5 |

Cell and atoms:
Cell: 4.301 4.301 11.812 Å, 90.00 90.00 90.00°
Space group I4/mmm (No. 139)
Asymmetric unit:
Ac (0.000, 0.000, 0.000) x2
Mg (0.000, 0.500, 0.250) x4
Ir (0.000, 0.000, 0.393) x4

***

Entry 3:
# Hf3In2Hg2
Theoretical powder X-ray diffraction pattern, Cu Kα (weighted mean of Kα1 and Kα2). Input: a structure optimized by DFT (PBE).
Neutral-atom scattering factors, no anomalous dispersion.

Main lines, low angle first (10 to 90 degrees two-theta):
| Position (°2θ) | d_spacing | intensity | (hkl) |
| --- | --- | --- | --- |
| 18.26 | 4.858 | 48 | 0 2 1 |
| 33.11 | 2.706 | 100 | 1 1 4 |
| 33.47 | 2.677 | 34 | 1 3 1 |
| 35.22 | 2.548 | 100 | 1 3 2 |
| 38.17 | 2.358 | 78 | 1 1 5 |
| 40.42 | 2.231 | 54 | 2 0 0 |

Cell and atoms:
Cell: 4.463 10.319 14.416 Å, 90.00 90.00 90.00°
Space group Cmce (No. 64)
Asymmetric unit:
Hf (0.000, 0.000, 0.000) x4
Hf (0.000, 0.207, 0.429) x8
In (0.000, 0.094, 0.628) x8
Hg (0.000, 0.114, 0.189) x8

***

Entry 4:
# KAlCu2F8
Theoretical powder X-ray diffraction pattern, Cu Kα (weighted mean of Kα1 and Kα2). Input: a structure optimized by DFT (PBE).
Neutral-atom scattering factors, no anomalous dispersion.

Main lines, low angle first (10 to 90 degrees two-theta):
| Position (°2θ) | d_spacing | intensity | (hkl) |
| --- | --- | --- | --- |
| 11.96 | 7.401 | 32 | 0 0 1 |
| 22.94 | 3.877 | 100 | 1 0 1 |
| 31.15 | 2.871 | 39 | 0 1 2 |
| 34.12 | 2.628 | 46 | 1 1 0 |
| 36.42 | 2.467 | 23 | 0 0 3 |
| 41.51 | 2.175 | 29 | 0 2 1 |

Cell and atoms:
Cell: 5.2563 5.2563 7.4011 Å, 90.00 90.00 120.00°
Space group P-3 (No. 147)
Asymmetric unit:
K (0.0000, 0.0000, 0.0000) x1
Al (0.0000, 0.0000, 0.5000) x1
Cu (0.3333, 0.6667, 0.6870) x2
F (0.0186, 0.7267, 0.3576) x6
F (0.3333, 0.6667, 0.9319) x2

***

Entry 5:
# Sr3In9Cu2
Theoretical powder X-ray diffraction pattern, Cu Kα (weighted mean of Kα1 and Kα2). Input: a structure optimized by DFT (PBE).
Neutral-atom scattering factors, no anomalous dispersion.

Main lines, low angle first (10 to 90 degrees two-theta):
| Position (°2θ) | d_spacing | intensity | (hkl) |
| --- | --- | --- | --- |
| 30.37 | 2.943 | 45 | 1 3 0 |
| 30.69 | 2.913 | 29 | 0 2 4 |
| 31.35 | 2.853 | 100 | 1 2 3 |
| 37.01 | 2.429 | 58 | 2 0 0 |
| 37.92 | 2.373 | 33 | 1 4 1 |
| 40.42 | 2.232 | 40 | 1 3 4 |

Cell and atoms:
Cell: 4.858 11.100 13.691 Å, 90.00 90.00 90.00°
Space group Immm (No. 71)
Asymmetric unit:
Sr (0.000, 0.000, 0.000) x2
Sr (0.000, 0.000, 0.310) x4
In (0.000, 0.283, 0.132) x8
In (0.000, 0.366, 0.347) x8
In (0.000, 0.500, 0.000) x2
Cu (0.000, 0.201, 0.500) x4

***

Entry 6:
# Na3SeF7
Theoretical powder X-ray diffraction pattern, Cu Kα (weighted mean of Kα1 and Kα2). Input: a structure optimized by DFT (PBE).
Neutral-atom scattering factors, no anomalous dispersion.

Main lines, low angle first (10 to 90 degrees two-theta):
| Position (°2θ) | d_spacing | intensity | (hkl) |
| --- | --- | --- | --- |
| 17.61 | 5.036 | 99 | 1 1 0 |
| 19.01 | 4.667 | 69 | 1 1 -1 |
| 26.55 | 3.357 | 59 | 2 0 0 |
| 29.19 | 3.059 | 100 | 0 2 1 |
| 30.26 | 2.954 | 54 | 2 0 -2 |
| 46.14 | 1.967 | 54 | 2 2 1 |

Cell and atoms:
Cell: 7.986 7.614 6.114 Å, 90.00 122.78 90.00°
Space group Cm (No. 8)
Asymmetric unit:
Na (0.000, 0.000, 0.000) x2
Na (0.492, 0.239, 0.524) x4
Se (0.025, 0.500, 0.058) x2
F (0.128, 0.258, 0.262) x4
F (0.158, 0.500, 0.853) x2
F (0.355, 0.160, 0.811) x4
F (0.363, 0.000, 0.197) x2
F (0.440, 0.500, 0.607) x2

***

Entry 7:
# Pr3Ge6Pd2Au
Theoretical powder X-ray diffraction pattern, Cu Kα (weighted mean of Kα1 and Kα2). Input: a structure optimized by DFT (PBE).
Neutral-atom scattering factors, no anomalous dispersion.

Main lines, low angle first (10 to 90 degrees two-theta):
| Position (°2θ) | d_spacing | intensity | (hkl) |
| --- | --- | --- | --- |
| 27.10 | 3.291 | 41 | 0 1 2 |
| 29.74 | 3.005 | 86 | 1 1 0 |
| 36.10 | 2.488 | 81 | 0 1 3 |
| 36.63 | 2.453 | 100 | 1 1 2 |
| 40.66 | 2.219 | 46 | 2 0 2 |
| 57.38 | 1.606 | 31 | 0 3 2 |

Cell and atoms:
Cell: 6.0090 6.0090 8.4967 Å, 90.00 90.00 120.00°
Space group P-3m1 (No. 164)
Asymmetric unit:
Pr (0.0000, 0.0000, 0.0000) x1
Pr (0.3333, 0.6667, 0.6127) x2
Ge (0.1884, 0.3767, 0.2721) x6
Pd (0.3333, 0.6667, 0.0164) x2
Au (0.0000, 0.0000, 0.5000) x1

***

Entry 8:
# AcPm4Ir4
Theoretical powder X-ray diffraction pattern, Cu Kα (weighted mean of Kα1 and Kα2). Input: a structure optimized by DFT (PBE).
Neutral-atom scattering factors, no anomalous dispersion.

Main lines, low angle first (10 to 90 degrees two-theta):
| Position (°2θ) | d_spacing | intensity | (hkl) |
| --- | --- | --- | --- |
| 18.12 | 4.896 | 26 | 1 0 1 |
| 30.55 | 2.926 | 100 | 1 3 0 |
| 32.51 | 2.754 | 42 | 1 0 2 |
| 42.93 | 2.107 | 33 | 3 0 2 |
| 43.76 | 2.069 | 30 | 4 2 0 |
| 47.42 | 1.917 | 25 | 3 2 2 |

Cell and atoms:
Cell: 9.252 9.252 5.769 Å, 90.00 90.00 90.00°
Space group P4_2/n (No. 86, origin choice 2)
Asymmetric unit:
Ac (0.250, 0.250, 0.250) x2
Pm (0.083, 0.653, 0.150) x8
Ir (0.039, 0.613, 0.648) x8

***

Entry 9:
# Li2Pr2Si3
Theoretical powder X-ray diffraction pattern, Cu Kα (weighted mean of Kα1 and Kα2). Input: a structure optimized by DFT (PBE).
Neutral-atom scattering factors, no anomalous dispersion.

Main lines, low angle first (10 to 90 degrees two-theta):
| Position (°2θ) | d_spacing | intensity | (hkl) |
| --- | --- | --- | --- |
| 20.54 | 4.325 | 42 | 1 1 0 |
| 23.10 | 3.850 | 47 | 0 4 1 |
| 26.01 | 3.426 | 36 | 0 0 2 |
| 33.37 | 2.685 | 64 | 1 1 2 |
| 34.02 | 2.635 | 100 | 1 5 1 |
| 40.58 | 2.223 | 21 | 2 0 0 |

Cell and atoms:
Cell: 4.446 18.615 6.852 Å, 90.00 90.00 90.00°
Space group Cmcm (No. 63)
Asymmetric unit:
Li (0.000, 0.188, 0.061) x8
Pr (0.000, 0.342, 0.250) x4
Pr (0.000, 0.448, 0.750) x4
Si (0.000, 0.058, 0.575) x8
Si (0.000, 0.280, 0.750) x4

***

Entry 10:
# TcNi3Rh2
Theoretical powder X-ray diffraction pattern, Cu Kα (weighted mean of Kα1 and Kα2). Input: a structure optimized by DFT (PBE).
Neutral-atom scattering factors, no anomalous dispersion.

Main lines, low angle first (10 to 90 degrees two-theta):
| Position (°2θ) | d_spacing | intensity | (hkl) |
| --- | --- | --- | --- |
| 42.23 | 2.140 | 100 | 1 3 2 |
| 48.33 | 1.883 | 17 | 0 6 0 |
| 49.12 | 1.855 | 16 | 2 0 0 |
| 50.02 | 1.824 | 15 | 0 0 4 |
| 85.97 | 1.131 | 12 | 1 9 2 |
| 87.17 | 1.118 | 12 | 3 3 2 |

Cell and atoms:
Cell: 3.710 11.300 7.294 Å, 90.00 90.00 90.00°
Space group Imma (No. 74)
Asymmetric unit:
Tc (0.000, 0.250, 0.120) x4
Ni (0.000, 0.088, 0.869) x8
Ni (0.000, 0.250, 0.634) x4
Rh (0.000, 0.086, 0.383) x8

***

Entry 11:
# La2SmHoBi4
Theoretical powder X-ray diffraction pattern, Cu Kα (weighted mean of Kα1 and Kα2). Input: a structure optimized by DFT (PBE).
Neutral-atom scattering factors, no anomalous dispersion.

Main lines, low angle first (10 to 90 degrees two-theta):
| Position (°2θ) | d_spacing | intensity | (hkl) |
| --- | --- | --- | --- |
| 27.37 | 3.259 | 100 | 1 1 1 |
| 39.04 | 2.307 | 40 | 0 2 0 |
| 39.13 | 2.302 | 39 | 2 0 2 |
| 48.34 | 1.883 | 22 | 2 2 -2 |
| 63.81 | 1.459 | 19 | 1 3 1 |
| 63.93 | 1.456 | 18 | 4 2 0 |

Cell and atoms:
Cell: 7.968 4.616 7.988 Å, 90.00 109.53 90.00°
Space group P2/m (No. 10)
Asymmetric unit:
La (0.000, 0.000, 0.000) x1
La (0.000, 0.500, 0.500) x1
Sm (0.500, 0.000, 0.500) x1
Ho (0.500, 0.500, 0.000) x1
Bi (0.260, 0.500, 0.250) x2
Bi (0.262, 0.000, 0.757) x2

***

Entry 12:
# NpTlTe2O8
Theoretical powder X-ray diffraction pattern, Cu Kα (weighted mean of Kα1 and Kα2). Input: a structure optimized by DFT (PBE).
Neutral-atom scattering factors, no anomalous dispersion.

Main lines, low angle first (10 to 90 degrees two-theta):
| Position (°2θ) | d_spacing | intensity | (hkl) |
| --- | --- | --- | --- |
| 14.02 | 6.317 | 25 | 2 0 0 |
| 24.55 | 3.626 | 100 | 1 1 1 |
| 26.09 | 3.416 | 98 | 3 1 -1 |
| 28.60 | 3.121 | 38 | 2 0 -2 |
| 31.06 | 2.879 | 35 | 0 2 0 |
| 34.29 | 2.615 | 25 | 3 1 1 |

Cell and atoms:
Cell: 13.611 5.759 6.271 Å, 90.00 111.83 90.00°
Space group C2/m (No. 12)
Asymmetric unit:
Np (0.000, 0.000, 0.000) x2
Tl (0.000, 0.500, 0.500) x2
Te (0.209, 0.500, 0.180) x4
O (0.058, 0.000, 0.782) x4
O (0.110, 0.264, 0.197) x8
O (0.187, 0.500, 0.871) x4